Computed powder diffraction line list of TaFeCuOs for λ = 1.5418 Å (Cu Kα), from a structure optimized by DFT (PBE).

Cell and atoms:
```
16
Lattice="6.097 0.000 0.000 0.000 6.097 0.000 0.000 0.000 6.097" Properties=species:S:1:pos:R:3 pbc="T T T"
Ta 0.000 0.000 0.000
Ta 0.000 3.048 3.048
Ta 3.048 0.000 3.048
Ta 3.048 3.048 0.000
Fe 1.524 1.524 4.573
Fe 1.524 4.573 1.524
Fe 4.573 1.524 1.524
Fe 4.573 4.573 4.573
Cu 0.000 0.000 3.048
Cu 0.000 3.048 0.000
Cu 3.048 0.000 0.000
Cu 3.048 3.048 3.048
Os 1.524 1.524 1.524
Os 1.524 4.573 4.573
Os 4.573 1.524 4.573
Os 4.573 4.573 1.524
```

Top 7 peaks for 10° ≤ 2θ ≤ 90°, sorted by position:
two_theta	I_rel
25.30	28
41.91	100
49.59	15
60.77	16
66.89	6
76.55	33
82.15	5